No. 1
Simulated powder diffractogram of Rb3Ag2PbI6 for Cu Kα X-rays, from a DFT-relaxed cell (PBE, Alexandria).
Kinematic intensities with the Lorentz-polarization factor, no thermal factor.

Structure:
```
data_Rb3Ag2PbI6
_chemical_formula_sum 'Rb3 Ag2 Pb1 I6'
_cell_length_a 9.2772
_cell_length_b 9.2772
_cell_length_c 9.0072
_cell_angle_alpha 90.00
_cell_angle_beta 90.00
_cell_angle_gamma 120.00
_symmetry_space_group_name_H-M 'P -3 m 1'
_symmetry_Int_Tables_number 164
_symmetry_space_group_name_Hall '-P 3 2"'
loop_
_atom_site_label
_atom_site_type_symbol
_atom_site_fract_x
_atom_site_fract_y
_atom_site_fract_z
Rb1 Rb 0.0000 0.0000 0.0000
Rb2 Rb 0.3333 0.6667 0.6030
Ag1 Ag 0.3333 0.6667 0.1998
Pb1 Pb 0.0000 0.0000 0.5000
I1 I 0.1651 0.3303 0.2854
```

The 10 most intense peaks (2θ = 15–90°), most intense first:
29.80 deg, rel. 100.0, (2 0 2); 38.83 deg, rel. 64.2, (2 2 0); 24.26 deg, rel. 62.9, (0 2 1); 19.13 deg, rel. 35.8, (1 1 0); 35.64 deg, rel. 27.1, (1 2 2); 31.08 deg, rel. 25.3, (2 1 1); 46.26 deg, rel. 25.1, (0 2 4); 49.70 deg, rel. 24.9, (0 4 2); 27.61 deg, rel. 22.5, (1 1 2); 22.63 deg, rel. 21.2, (0 1 2)

=====

No. 2
Simulated powder diffractogram of Gd2NpC for Cu Kα X-rays, from a DFT-relaxed cell (PBE, Alexandria).
Kinematic intensities with the Lorentz-polarization factor, no thermal factor.

Structure:
```
data_Gd2NpC
_chemical_formula_sum 'Gd6 Np3 C3'
_cell_length_a 3.4689
_cell_length_b 3.4689
_cell_length_c 29.0985
_cell_angle_alpha 90.00
_cell_angle_beta 90.00
_cell_angle_gamma 120.00
_symmetry_space_group_name_H-M 'R -3 m'
_symmetry_Int_Tables_number 166
_symmetry_space_group_name_Hall '-R 3 2"'
loop_
_atom_site_label
_atom_site_type_symbol
_atom_site_fract_x
_atom_site_fract_y
_atom_site_fract_z
Gd1 Gd 0.0000 0.0000 0.1185
Np1 Np 0.0000 0.0000 0.0000
C1 C 0.0000 0.0000 0.5000
```

The 10 most intense peaks (2θ = 15–90°), most intense first:
29.90 deg, rel. 100.0, (1 0 1); 38.88 deg, rel. 71.3, (0 1 8); 27.59 deg, rel. 51.5, (0 0 9); 36.92 deg, rel. 39.2, (1 0 7); 60.58 deg, rel. 35.4, (1 1 9); 30.38 deg, rel. 34.2, (0 1 2); 52.78 deg, rel. 31.5, (1 1 0); 43.29 deg, rel. 24.4, (1 0 10); 62.45 deg, rel. 17.8, (0 1 17); 59.41 deg, rel. 17.3, (1 0 16)

=====

No. 3
Simulated powder diffractogram of NaPb3S4 for Cu Kα X-rays, from a DFT-relaxed cell (PBE, Alexandria).
Kinematic intensities with the Lorentz-polarization factor, no thermal factor.

Structure:
```
data_NaPb3S4
_chemical_formula_sum 'Na2 Pb6 S8'
_cell_length_a 8.381
_cell_length_b 11.691
_cell_length_c 4.138
_cell_angle_alpha 90.00
_cell_angle_beta 90.00
_cell_angle_gamma 90.00
_symmetry_space_group_name_H-M 'C m m m'
_symmetry_Int_Tables_number 65
_symmetry_space_group_name_Hall '-C 2 2'
loop_
_atom_site_label
_atom_site_type_symbol
_atom_site_fract_x
_atom_site_fract_y
_atom_site_fract_z
Na1 Na 0.000 0.000 0.000
Pb1 Pb 0.000 0.500 0.000
Pb2 Pb 0.250 0.250 0.500
S1 S 0.000 0.248 0.000
S2 S 0.249 0.000 0.500
```

The 10 most intense peaks (2θ = 15–90°), most intense first:
30.36 deg, rel. 100.0, (2 0 1); 43.63 deg, rel. 73.8, (2 4 1); 26.16 deg, rel. 59.8, (2 2 0); 26.39 deg, rel. 58.6, (0 2 1); 30.59 deg, rel. 49.0, (0 4 0); 51.71 deg, rel. 31.2, (2 6 0); 25.19 deg, rel. 25.6, (1 3 0); 72.14 deg, rel. 25.3, (2 8 1); 51.31 deg, rel. 21.2, (4 2 1); 53.83 deg, rel. 19.9, (4 4 0)